Starting from the PBE+U geometry in Alexandria, the powder diffraction line list of CaNi2F8 was computed for Cu Kα (weighted mean of Kα1 and Kα2).
Lines closer than 0.1° are merged.

Most intense lines, 2θ from 15° to 90°, low angle first:
2theta, I (rel.)
26.8, 98
27.3, 100
31.1, 23
45.6, 12
47.4, 19
47.6, 32
48.4, 19
55.3, 37
56.2, 22
62.7, 16

Structure:
a b c (Å): 6.6498 6.6498 3.9761
angles (deg): 90.00 90.00 120.00
Positions (direct):
Ca  0.0000  0.0000  0.0000
Ni  0.3333  0.6667  0.2876
Ni  0.6667  0.3333  0.7124
F  0.1755  0.8225  0.2617
F  0.1775  0.3530  0.2617
F  0.3333  0.6667  0.7698
F  0.3530  0.1755  0.7383
F  0.6470  0.8245  0.2617
F  0.6667  0.3333  0.2302
F  0.8225  0.6470  0.7383
F  0.8245  0.1775  0.7383